Starting from a DFT-relaxed cell (GGA-PBE, the Materials Project), the powder diffraction line list of Cs3Hg20 was computed for Cu Ka.
Kinematic intensities with the Lorentz-polarization factor, no thermal factor.

```
Cs3Hg20
1.0
11.6542 0.0000 0.0000
0.0000 11.6542 0.0000
0.0000 0.0000 11.6542
Cs Hg
6 40
Direct
0.0000 0.2500 0.5000
0.0000 0.7500 0.5000
0.2500 0.5000 0.0000
0.5000 0.0000 0.2500
0.5000 0.0000 0.7500
0.7500 0.5000 0.0000
0.0000 0.0000 0.0000
0.0000 0.2550 0.1346
0.0000 0.2550 0.8654
0.0000 0.5000 0.2500
0.0000 0.5000 0.7500
0.0000 0.7450 0.1346
0.0000 0.7450 0.8654
0.1346 0.0000 0.2550
0.1346 0.0000 0.7450
0.2450 0.5000 0.3654
0.2450 0.5000 0.6346
0.2500 0.0000 0.5000
0.2500 0.2500 0.2500
0.2500 0.2500 0.7500
0.2500 0.7500 0.2500
0.2500 0.7500 0.7500
0.2550 0.1346 0.0000
0.2550 0.8654 0.0000
0.3654 0.2450 0.5000
0.3654 0.7550 0.5000
0.5000 0.2500 0.0000
0.5000 0.3654 0.2450
0.5000 0.3654 0.7550
0.5000 0.5000 0.5000
0.5000 0.6346 0.2450
0.5000 0.6346 0.7550
0.5000 0.7500 0.0000
0.6346 0.2450 0.5000
0.6346 0.7550 0.5000
0.7450 0.1346 0.0000
0.7450 0.8654 0.0000
0.7500 0.0000 0.5000
0.7500 0.2500 0.2500
0.7500 0.2500 0.7500
0.7500 0.7500 0.2500
0.7500 0.7500 0.7500
0.7550 0.5000 0.3654
0.7550 0.5000 0.6346
0.8654 0.0000 0.2550
0.8654 0.0000 0.7450
```

The 10 most intense peaks (2θ from 10° to 90°), low angle first:
d (Å)	I/Imax	index
8.241	34	1 1 0
3.364	42	2 2 2
3.232	55	3 2 0
3.115	47	3 2 1
2.914	100	4 0 0
2.543	85	4 2 1
2.485	41	3 3 2
2.379	62	4 2 2
1.891	35	5 3 2
1.557	34	6 4 2